1.
This entry pairs a crystal structure of CaNdPa2P4 with its simulated X-ray diffraction stick pattern. Radiation: λ = 1.5418 Å (Cu Kα). Structure: a cell relaxed with GGA-PBE.
Intensities are scaled so that the largest is 1000.

Structural model:
Lattice parameters (Å, degrees): 5.705 5.705 11.493 90.00 90.00 90.00
Positions (direct):
Ca 0.000 0.000 0.000
Ca 0.500 0.500 0.500
Nd 0.000 0.500 0.750
Nd 0.500 0.000 0.250
Pa 0.000 0.000 0.500
Pa 0.000 0.500 0.250
Pa 0.500 0.000 0.750
Pa 0.500 0.500 0.000
P 0.000 0.000 0.258
P 0.000 0.000 0.742
P 0.000 0.500 0.008
P 0.000 0.500 0.492
P 0.500 0.000 0.508
P 0.500 0.000 0.992
P 0.500 0.500 0.242
P 0.500 0.500 0.758

Principal peaks in the range 5° ≤ 2θ ≤ 70°, low angle first:
2θ 17.4, rel. 435, hkl 1 0 1
2θ 27.0, rel. 1000, hkl 1 1 2
2θ 31.1, rel. 387, hkl 0 0 4
2θ 31.4, rel. 764, hkl 2 0 0
2θ 36.1, rel. 152, hkl 2 1 1
2θ 44.8, rel. 566, hkl 2 0 4
2θ 44.9, rel. 281, hkl 2 2 0
2θ 52.9, rel. 171, hkl 1 1 6
2θ 53.2, rel. 330, hkl 3 1 2
2θ 55.7, rel. 297, hkl 2 2 4


2.
This entry pairs a crystal structure of CaNdP2Pd4 with its simulated X-ray diffraction stick pattern. Radiation: λ = 1.5418 Å (Cu Kα). Structure: a cell relaxed with GGA-PBE.
Intensities are scaled so that the largest is 1000.

Structural model:
Lattice parameters (Å, degrees): 4.108 4.108 9.231 90.00 90.00 90.00
Positions (direct):
Ca 0.000 0.000 0.000
Nd 0.000 0.000 0.500
P 0.500 0.500 0.122
P 0.500 0.500 0.878
Pd 0.000 0.500 0.260
Pd 0.000 0.500 0.740
Pd 0.500 0.000 0.260
Pd 0.500 0.000 0.740

Principal peaks in the range 5° ≤ 2θ ≤ 70°, low angle first:
2θ 19.2, rel. 195, hkl 0 0 2
2θ 23.7, rel. 173, hkl 1 0 1
2θ 29.1, rel. 166, hkl 1 0 2
2θ 36.6, rel. 1000, hkl 1 1 2
2θ 39.0, rel. 160, hkl 0 0 4
2θ 44.1, rel. 348, hkl 2 0 0
2θ 50.5, rel. 87, hkl 1 1 4
2θ 60.3, rel. 176, hkl 2 0 4
2θ 64.1, rel. 111, hkl 2 2 0
2θ 69.1, rel. 131, hkl 1 1 6


3.
This entry pairs a crystal structure of CaNdPu2P4 with its simulated X-ray diffraction stick pattern. Radiation: λ = 1.5418 Å (Cu Kα). Structure: a cell relaxed with GGA-PBE.
Intensities are scaled so that the largest is 1000.

Structural model:
Lattice parameters (Å, degrees): 5.760 5.760 11.428 90.00 90.00 90.00
Positions (direct):
Ca 0.000 0.000 0.000
Ca 0.500 0.500 0.500
Nd 0.000 0.000 0.500
Nd 0.500 0.500 0.000
Pu 0.000 0.500 0.250
Pu 0.000 0.500 0.750
Pu 0.500 0.000 0.250
Pu 0.500 0.000 0.750
P 0.000 0.000 0.252
P 0.000 0.000 0.748
P 0.000 0.500 0.000
P 0.000 0.500 0.500
P 0.500 0.000 0.000
P 0.500 0.000 0.500
P 0.500 0.500 0.248
P 0.500 0.500 0.752

Principal peaks in the range 5° ≤ 2θ ≤ 70°, low angle first:
2θ 15.5, rel. 241, hkl 0 0 2
2θ 21.8, rel. 226, hkl 1 1 0
2θ 26.9, rel. 1000, hkl 1 1 2
2θ 31.1, rel. 763, hkl 2 0 0
2θ 31.3, rel. 373, hkl 0 0 4
2θ 44.5, rel. 282, hkl 2 2 0
2θ 44.7, rel. 558, hkl 2 0 4
2θ 52.7, rel. 336, hkl 3 1 2
2θ 53.1, rel. 165, hkl 1 1 6
2θ 55.4, rel. 296, hkl 2 2 4